(1)
MgSc2Se4: simulated PXRD pattern (Cu Kα (weighted mean of Kα1 and Kα2)), based on DFT lattice parameters and positions (GGA-PBE).
Lines closer than 0.1° are merged.

The 10 most intense peaks (2θ = 5–70°), by angle:
2theta  Rel. int.
29.76  34
30.10  16
33.07  45
33.72  100
39.59  27
39.92  21
40.12  20
50.53  15
55.01  16
55.78  22

Cell and atoms:
```
14
Lattice="-4.198 4.198 4.293 4.198 -4.198 4.293 4.198 4.198 -4.293" Properties=species:S:1:pos:R:3 pbc="T T T"
Mg 0.000 0.000 0.000
Mg 0.000 4.198 2.147
Sc 2.099 -1.113 3.220
Sc 3.085 2.099 1.073
Sc 2.099 5.311 -1.073
Sc 1.113 2.099 5.367
Se 2.546 -0.507 0.629
Se 3.691 2.546 -1.518
Se 5.851 0.507 0.629
Se 4.705 -1.652 3.664
Se 0.507 1.652 2.775
Se 1.652 -0.507 5.811
Se 3.691 1.652 3.664
Se 2.546 4.705 1.518
```

***

(2)
MgSc2Se4: simulated PXRD pattern (Cu Kα (weighted mean of Kα1 and Kα2)), based on DFT lattice parameters and positions (GGA-PBE).
Lines closer than 0.1° are merged.

The 10 most intense peaks (2θ = 5–70°), by angle:
2theta  Rel. int.
13.66  20
26.33  15
27.53  69
31.89  100
41.81  18
45.72  89
54.20  29
56.82  23
58.74  6
66.65  13

Cell and atoms:
```
14
Lattice="0.000 5.613 5.613 5.613 0.000 5.613 5.613 5.613 0.000" Properties=species:S:1:pos:R:3 pbc="T T T"
Mg 1.403 1.403 1.403
Mg 9.822 9.822 9.822
Sc 5.613 2.806 2.806
Sc 2.806 5.613 2.806
Sc 2.806 2.806 5.613
Sc 5.613 5.613 5.613
Se 2.895 2.895 2.895
Se 5.524 5.524 2.895
Se 5.524 2.895 5.524
Se 8.331 5.701 5.701
Se 2.895 5.524 5.524
Se 5.701 8.331 5.701
Se 5.701 5.701 8.331
Se 8.331 8.331 8.331
```

***

(3)
MgSc2Se4: simulated PXRD pattern (Cu Kα (weighted mean of Kα1 and Kα2)), based on DFT lattice parameters and positions (GGA-PBE).
Lines closer than 0.1° are merged.

The 10 most intense peaks (2θ = 5–70°), by angle:
2theta  Rel. int.
14.91  13
26.94  19
29.63  100
29.75  53
38.04  62
46.37  20
46.60  38
49.32  38
54.65  11
56.06  17

Cell and atoms:
```
28
Lattice="13.480 0.000 0.000 0.000 7.833 0.000 0.000 0.000 6.620" Properties=species:S:1:pos:R:3 pbc="T T T"
Mg 1.253 1.958 0.558
Mg 5.488 5.875 3.867
Mg 7.993 1.958 2.752
Mg 12.228 5.875 6.062
Sc 0.000 0.000 3.310
Sc 0.000 3.917 3.310
Sc 3.219 5.875 6.561
Sc 3.522 1.958 3.251
Sc 6.740 0.000 0.000
Sc 6.740 3.917 0.000
Sc 9.959 5.875 3.368
Sc 10.262 1.958 0.059
Se 1.067 5.875 4.917
Se 1.209 1.958 4.654
Se 2.304 3.958 1.787
Se 2.304 7.792 1.787
Se 4.437 0.041 5.097
Se 4.437 3.876 5.097
Se 5.531 5.875 1.345
Se 5.673 1.958 1.608
Se 7.807 5.875 5.012
Se 7.949 1.958 5.275
Se 9.044 3.958 1.523
Se 9.044 7.792 1.523
Se 11.177 0.041 4.833
Se 11.177 3.876 4.833
Se 12.272 5.875 1.965
Se 12.413 1.958 1.702
```